Entry 1:
This entry pairs a crystal structure of Tb2DyY5Ho with its simulated PXRD pattern. Radiation: Cu Kα, 1.54184 Å. Structure: the GGA-PBE geometry in Alexandria.
Neutral-atom scattering factors, no anomalous dispersion.

Main lines, most intense first (2θ from 10° to 90°):
2θ = 31.13°, rel. 100, (2 0 4); 2θ = 28.83°, rel. 57, (2 1 3); 2θ = 28.93°, rel. 51, (2 2 0); 2θ = 43.12°, rel. 32, (4 0 2); 2θ = 37.62°, rel. 25, (3 2 1); 2θ = 52.67°, rel. 22, (4 2 4); 2θ = 37.41°, rel. 20, (2 1 5); 2θ = 47.66°, rel. 14, (0 0 8); 2θ = 32.43°, rel. 14, (3 1 0); 2θ = 80.00°, rel. 14, (4 4 8)

Structural model:
a = 8.729 Å, b = 8.729 Å, c = 15.263 Å
α = 90.00°, β = 90.00°, γ = 90.00°
Space group I4/mcm (No. 140)
One atom of each set of equivalent atoms:
Tb: 0.116 0.384 0.000
Dy: 0.000 0.000 0.250
Y: 0.000 0.000 0.000
Y: 0.207 0.293 0.364
Ho: 0.000 0.500 0.250

=====

Entry 2:
This entry pairs a crystal structure of Y2Al9Ir3 with its simulated PXRD pattern. Radiation: Cu Kα, 1.54184 Å. Structure: the GGA-PBE geometry in Alexandria.
Neutral-atom scattering factors, no anomalous dispersion.

Main lines, most intense first (2θ from 10° to 90°):
2θ = 30.25°, rel. 100, (3 1 2); 2θ = 41.22°, rel. 59, (3 3 0); 2θ = 23.56°, rel. 54, (3 1 0); 2θ = 30.12°, rel. 50, (0 2 2); 2θ = 45.10°, rel. 44, (0 2 4); 2θ = 18.70°, rel. 42, (0 0 2); 2θ = 37.92°, rel. 29, (0 0 4); 2θ = 23.40°, rel. 27, (0 2 0); 2θ = 52.14°, rel. 27, (6 2 2); 2θ = 57.25°, rel. 27, (3 3 4)

Structural model:
a = 13.050 Å, b = 7.604 Å, c = 9.491 Å
α = 90.00°, β = 90.00°, γ = 90.00°
Space group Cmcm (No. 63)
One atom of each set of equivalent atoms:
Y: 0.162 0.167 0.250
Al: 0.000 0.129 0.750
Al: 0.000 0.333 0.051
Al: 0.104 0.444 0.750
Al: 0.167 0.168 0.574
Ir: 0.000 0.000 0.000
Ir: 0.172 0.500 0.000

=====

Entry 3:
This entry pairs a crystal structure of PaAs12Os4 with its simulated PXRD pattern. Radiation: Cu Kα, 1.54184 Å. Structure: the GGA-PBE geometry in Alexandria.
Neutral-atom scattering factors, no anomalous dispersion.

Main lines, most intense first (2θ from 10° to 90°):
2θ = 29.33°, rel. 100, (2 2 0); 2θ = 32.89°, rel. 91, (3 0 1); 2θ = 52.02°, rel. 89, (4 2 2); 2θ = 39.14°, rel. 55, (3 1 2); 2θ = 47.20°, rel. 53, (4 2 0); 2θ = 54.32°, rel. 36, (4 3 1); 2θ = 20.63°, rel. 32, (2 0 0); 2θ = 68.96°, rel. 31, (6 0 2); 2θ = 84.12°, rel. 20, (6 2 4); 2θ = 41.96°, rel. 19, (4 0 0)

Structural model:
a = 8.612 Å, b = 8.612 Å, c = 8.612 Å
α = 90.00°, β = 90.00°, γ = 90.00°
Space group Im-3 (No. 204)
One atom of each set of equivalent atoms:
Pa: 0.000 0.000 0.000
As: 0.000 0.345 0.149
Os: 0.250 0.250 0.250

=====

Entry 4:
This entry pairs a crystal structure of RbTm2Br7 with its simulated PXRD pattern. Radiation: Cu Kα, 1.54184 Å. Structure: the GGA-PBE geometry in Alexandria.
Neutral-atom scattering factors, no anomalous dispersion.

Main lines, most intense first (2θ from 10° to 90°):
2θ = 16.03°, rel. 100, (0 0 1); 2θ = 32.39°, rel. 73, (0 0 2); 2θ = 19.90°, rel. 68, (2 0 0); 2θ = 12.28°, rel. 62, (0 2 0); 2θ = 34.81°, rel. 53, (3 1 1); 2θ = 35.50°, rel. 53, (3 3 0); 2θ = 48.81°, rel. 42, (3 3 2); 2θ = 31.93°, rel. 42, (2 4 0); 2θ = 32.64°, rel. 40, (1 5 0); 2θ = 21.00°, rel. 40, (1 3 0)

Structural model:
a = 8.920 Å, b = 14.416 Å, c = 5.529 Å
α = 90.00°, β = 90.00°, γ = 90.00°
Space group Cmmm (No. 65)
One atom of each set of equivalent atoms:
Rb: 0.000 0.000 0.000
Tm: 0.000 0.303 0.500
Br: 0.000 0.298 0.000
Br: 0.000 0.500 0.500
Br: 0.188 0.140 0.500

=====

Entry 5:
This entry pairs a crystal structure of PrPbF4 with its simulated PXRD pattern. Radiation: Cu Kα, 1.54184 Å. Structure: the GGA-PBE geometry in Alexandria.
Neutral-atom scattering factors, no anomalous dispersion.

Main lines, most intense first (2θ from 10° to 90°):
2θ = 26.13°, rel. 100, (1 1 2); 2θ = 22.82°, rel. 84, (2 0 0); 2θ = 42.15°, rel. 71, (3 1 2); 2θ = 47.97°, rel. 23, (2 0 4); 2θ = 32.49°, rel. 22, (2 2 0); 2θ = 54.21°, rel. 20, (3 3 2); 2θ = 64.63°, rel. 16, (5 1 2); 2θ = 46.60°, rel. 16, (4 0 0); 2θ = 52.50°, rel. 15, (4 2 0); 2θ = 69.11°, rel. 15, (4 2 4)

Structural model:
a = 7.795 Å, b = 7.795 Å, c = 8.684 Å
α = 90.00°, β = 90.00°, γ = 90.00°
Space group I4_1md (No. 109)
One atom of each set of equivalent atoms:
Pr: 0.000 0.000 0.000
Pb: 0.000 0.000 0.498
F: 0.000 0.295 0.052
F: 0.000 0.313 0.454

=====

Entry 6:
This entry pairs a crystal structure of MgTcNi4 with its simulated PXRD pattern. Radiation: Cu Kα, 1.54184 Å. Structure: the GGA-PBE geometry in Alexandria.
Neutral-atom scattering factors, no anomalous dispersion.

Main lines, most intense first (2θ from 10° to 90°):
2θ = 44.65°, rel. 100, (3 1 1); 2θ = 46.75°, rel. 42, (2 2 2); 2θ = 73.04°, rel. 28, (5 1 1); 2θ = 37.80°, rel. 25, (2 2 0); 2θ = 80.76°, rel. 23, (4 4 0); 2θ = 22.88°, rel. 18, (1 1 1); 2θ = 26.48°, rel. 12, (2 0 0); 2θ = 68.26°, rel. 8, (4 2 2); 2θ = 54.53°, rel. 5, (4 0 0); 2θ = 61.62°, rel. 4, (4 2 0)

Structural model:
a = 6.731 Å, b = 6.731 Å, c = 6.731 Å
α = 90.00°, β = 90.00°, γ = 90.00°
Space group F-43m (No. 216)
One atom of each set of equivalent atoms:
Mg: 0.000 0.000 0.000
Tc: 0.250 0.250 0.250
Ni: 0.125 0.125 0.625